[1]
# V4P3O12
Simulated XRD peak list, Cu Kα, 1.54184 Å. Input: the PBE+U geometry in the Materials Project.
Neutral-atom scattering factors, no anomalous dispersion.

Peak list (10 most intense, 5 to 70 degrees two-theta, low angle first)
| 2theta | d [Å] | I (rel.) |
| --- | --- | --- |
| 20.81 | 4.268 | 21 |
| 26.67 | 3.343 | 25 |
| 30.04 | 2.975 | 24 |
| 32.45 | 2.759 | 100 |
| 43.53 | 2.079 | 16 |
| 51.51 | 1.774 | 11 |
| 54.18 | 1.693 | 20 |
| 54.51 | 1.683 | 13 |
| 54.62 | 1.680 | 10 |
| 64.89 | 1.437 | 11 |

Cell and atoms:
```
38
Lattice="-3.367 3.367 9.627 3.367 -3.367 9.627 3.367 3.367 -9.627" Properties=species:S:1:pos:R:3 pbc="T T T"
V 1.683 1.682 -2.407
V 0.000 0.000 4.376
V 1.685 -1.683 12.033
V 0.000 3.367 0.437
V 1.683 1.685 7.220
V 0.000 0.000 14.877
V 1.682 5.050 2.407
V 0.000 3.367 9.190
P 0.000 0.000 0.000
P 1.683 -1.020 7.220
P 2.347 1.683 2.407
P 1.683 4.387 -2.407
P 0.000 3.367 4.813
P 1.020 1.683 12.033
O 1.273 0.393 -0.806
O 2.936 -1.863 6.838
O 5.230 -0.431 2.788
O 3.798 1.503 -2.025
O 1.503 0.431 2.788
O 2.974 -2.094 10.432
O 3.326 1.381 1.217
O 1.381 -0.041 6.031
O 1.986 3.407 -3.596
O 1.986 -0.041 8.409
O 1.381 3.407 -1.217
O 3.326 1.986 3.596
O -0.393 2.094 4.008
O 1.503 2.936 2.025
O 3.798 1.863 6.838
O 1.863 0.431 11.652
O -0.431 1.863 7.602
O 1.273 2.974 5.619
O -1.273 3.760 5.619
O 0.393 5.460 0.806
O 0.041 1.986 10.844
O 0.041 1.381 13.223
O 0.393 4.640 4.007
O 2.094 2.974 8.821
```


[2]
# AlV2O4
Simulated XRD peak list, Cu Kα, 1.54184 Å. Input: the PBE+U geometry in the Materials Project.
Neutral-atom scattering factors, no anomalous dispersion.

Peak list (10 most intense, 5 to 70 degrees two-theta, low angle first)
| 2theta | d [Å] | I (rel.) |
| --- | --- | --- |
| 18.38 | 4.828 | 54 |
| 35.17 | 2.552 | 47 |
| 35.43 | 2.534 | 31 |
| 35.56 | 2.525 | 94 |
| 35.75 | 2.512 | 15 |
| 43.09 | 2.099 | 100 |
| 62.10 | 1.495 | 37 |
| 62.23 | 1.492 | 18 |
| 62.83 | 1.479 | 18 |
| 63.10 | 1.473 | 35 |

Cell and atoms:
```
28
Lattice="5.098 -2.958 0.000 5.098 2.958 0.000 -3.405 0.000 9.819" Properties=species:S:1:pos:R:3 pbc="T T T"
Al 1.682 0.000 0.592
Al 1.693 0.045 4.333
Al 5.098 0.045 5.486
Al 5.108 0.000 9.227
V 4.207 1.521 2.462
V -0.022 0.026 7.362
V 2.583 1.521 7.356
V 5.098 -0.035 0.000
V 4.244 -1.429 2.454
V 2.547 -1.429 7.365
V 6.813 0.026 2.457
V 3.395 -2.874 4.909
O -0.016 0.019 3.732
O 2.568 1.511 3.710
O -1.733 -0.015 8.614
O 0.911 1.485 8.607
O 1.710 0.103 6.129
O 3.373 0.046 1.194
O 5.880 1.485 1.211
O 4.223 1.511 6.108
O 5.080 0.103 3.690
O 2.526 -1.421 3.732
O 3.418 0.046 8.624
O 0.840 -1.468 8.650
O 4.265 -1.421 6.086
O 6.806 0.019 6.086
O 5.951 -1.468 1.169
O 8.524 -0.015 1.205
```


[3]
# La3Mo4O16F
Simulated XRD peak list, Cu Kα, 1.54184 Å. Input: the PBE+U geometry in the Materials Project.
Neutral-atom scattering factors, no anomalous dispersion.

Peak list (10 most intense, 5 to 70 degrees two-theta, low angle first)
| 2theta | d [Å] | I (rel.) |
| --- | --- | --- |
| 12.68 | 6.983 | 23 |
| 24.03 | 3.704 | 85 |
| 25.15 | 3.540 | 71 |
| 25.25 | 3.526 | 100 |
| 25.43 | 3.503 | 39 |
| 25.51 | 3.491 | 51 |
| 26.66 | 3.343 | 65 |
| 29.68 | 3.010 | 39 |
| 29.95 | 2.984 | 24 |
| 43.74 | 2.070 | 26 |

Cell and atoms:
```
48
Lattice="7.338 0.000 0.000 -1.340 7.408 0.000 -2.885 -3.791 14.085" Properties=species:S:1:pos:R:3 pbc="T T T"
La -0.097 0.291 3.366
La -0.450 3.922 5.325
La 0.877 4.445 1.485
La 2.236 -0.828 12.600
La 3.563 -0.306 8.760
La 3.210 3.326 10.718
Mo -1.784 0.012 11.698
Mo -0.092 0.090 6.887
Mo 2.106 0.598 0.199
Mo -0.254 4.298 9.466
Mo 3.366 -0.681 4.619
Mo 1.007 3.018 13.886
Mo 3.205 3.526 7.198
Mo 4.897 3.604 2.387
O -1.457 5.005 3.035
O -1.441 -0.439 7.916
O -2.752 0.502 13.142
O -1.949 1.237 10.435
O -2.857 3.671 12.761
O -0.561 1.536 5.903
O -1.922 4.094 10.074
O 0.322 -1.052 5.516
O 1.242 2.092 0.613
O 0.227 6.919 1.607
O -0.306 4.528 7.689
O -0.084 -0.373 12.121
O 1.236 5.252 3.882
O 2.180 6.127 0.036
O 1.324 0.381 7.906
O 2.317 0.692 4.207
O 0.796 2.925 9.878
O 1.789 3.236 6.179
O 0.933 -2.511 14.048
O 1.877 -1.636 10.203
O 3.197 3.989 1.964
O 3.419 -0.911 6.396
O 2.885 -3.303 12.478
O 1.871 1.524 13.472
O 2.791 4.669 8.569
O 5.034 -0.478 4.010
O 3.674 2.081 8.182
O 5.969 -0.055 1.324
O 5.062 2.379 3.650
O 5.865 3.115 0.943
O 4.554 4.055 6.168
O 4.570 -1.389 11.050
F 0.382 2.711 3.267
F 2.731 0.905 10.818
```